Diffraction record for Cs2HoErS4. The powder XRD pattern is simulated, not measured: it uses the GGA-PBE geometry in OQMD and Cu Kα X-rays.
Intensities are scaled so that the largest is 100.

Atomic structure:
abc: 4.0688 4.0688 16.0680
angles: 90.00 90.00 120.00
Space group P-3m1 (No. 164)
Inequivalent atoms, fractional coordinates:
Cs1 0.3333 0.6667 0.2500
Ho1 0.0000 0.0000 0.5000
Er1 0.0000 0.0000 0.0000
S1 0.3333 0.6667 0.5909
S2 0.3333 0.6667 0.9093

The 10 most intense peaks (15 to 90 degrees two-theta), low angle first:
2θ/deg	intensity	(hkl)
22.13	38.5	0 0 4
25.89	16.6	0 1 1
27.64	100.0	1 0 2
30.36	49.8	1 0 3
33.84	18.7	1 0 4
42.39	46.2	1 0 6
44.54	37.8	1 1 0
50.27	26.7	1 1 4
53.23	16.5	2 0 2
65.28	15.5	1 1 8